Diffraction record for Ti3Mo4W2. The powder XRD pattern is computed, not measured: it uses a PBE-relaxed structure and copper Kα.

Unit cell a=4.4944 b=4.4944 c=8.1895 alpha=90.00 beta=90.00 gamma=120.00
Space group P-3m1 (No. 164)
Asymmetric unit:
Ti: 0.0000 0.0000 0.0000
Ti: 0.3333 0.6667 0.5639
Mo: 0.0000 0.0000 0.3396
Mo: 0.3333 0.6667 0.8890
W: 0.3333 0.6667 0.2191

Most intense lines, 10° ≤ 2θ ≤ 80°, by intensity:
| Position (°2θ) | d [Å] | intensity | (hkl) |
| --- | --- | --- | --- |
| 40.13 | 2.247 | 100 | 1 1 0 |
| 40.36 | 2.235 | 98 | 1 0 3 |
| 25.34 | 3.515 | 35 | 1 0 1 |
| 73.06 | 1.295 | 33 | 2 1 3 |
| 58.22 | 1.585 | 33 | 0 2 3 |
| 72.91 | 1.297 | 17 | 3 0 0 |
| 73.53 | 1.288 | 16 | 0 1 6 |
| 21.70 | 4.095 | 15 | 0 0 2 |
| 46.07 | 1.970 | 13 | 1 1 2 |
| 50.36 | 1.812 | 7 | 0 1 4 |



Diffraction record for Ba2MgGe2O7. The powder XRD pattern is computed, not measured: it uses a PBE-relaxed structure and copper Kα.

Unit cell a=8.4893 b=8.4893 c=5.6321 alpha=90.00 beta=90.00 gamma=90.00
Space group P-42_1m (No. 113)
Asymmetric unit:
Ba: 0.1652 0.3348 0.4902
Mg: 0.0000 0.0000 0.0000
Ge: 0.1410 0.6410 0.9589
O: 0.0000 0.5000 0.8365
O: 0.0795 0.8170 0.8147
O: 0.1387 0.6387 0.2687

Most intense lines, 10° ≤ 2θ ≤ 80°, by intensity:
| Position (°2θ) | d [Å] | intensity | (hkl) |
| --- | --- | --- | --- |
| 28.35 | 3.148 | 100 | 2 1 1 |
| 33.38 | 2.685 | 16 | 3 1 0 |
| 46.75 | 1.943 | 15 | 3 1 2 |
| 14.76 | 6.003 | 14 | 1 1 0 |
| 61.04 | 1.518 | 14 | 5 2 1 |
| 46.99 | 1.934 | 12 | 4 1 1 |
| 54.53 | 1.683 | 12 | 2 1 3 |
| 45.32 | 2.001 | 11 | 3 3 0 |
| 26.29 | 3.390 | 11 | 2 0 1 |
| 31.78 | 2.816 | 10 | 0 0 2 |



Diffraction record for NaMgPbO4. The powder XRD pattern is computed, not measured: it uses a PBE-relaxed structure and copper Kα.

Unit cell a=6.0557 b=6.8118 c=9.3384 alpha=90.00 beta=90.00 gamma=90.00
Space group Imma (No. 74)
Asymmetric unit:
Na: 0.2500 0.2500 0.2500
Mg: 0.0000 0.2500 0.6387
Pb: 0.0000 0.0000 0.0000
O: 0.0000 0.0117 0.7655
O: 0.2411 0.2500 0.9981

Most intense lines, 10° ≤ 2θ ≤ 80°, by intensity:
| Position (°2θ) | d [Å] | intensity | (hkl) |
| --- | --- | --- | --- |
| 17.45 | 5.081 | 100 | 1 0 1 |
| 31.63 | 2.829 | 66 | 1 2 1 |
| 19.01 | 4.669 | 34 | 0 0 2 |
| 32.34 | 2.768 | 30 | 1 0 3 |
| 39.84 | 2.263 | 25 | 2 2 0 |
| 56.65 | 1.625 | 24 | 2 2 4 |
| 42.06 | 2.148 | 18 | 1 2 3 |
| 44.49 | 2.036 | 18 | 2 2 2 |
| 32.54 | 2.752 | 17 | 0 2 2 |
| 29.50 | 3.028 | 17 | 2 0 0 |



Diffraction record for PrIn6Pd3. The powder XRD pattern is computed, not measured: it uses a PBE-relaxed structure and copper Kα.

Unit cell a=9.2853 b=4.6266 c=10.4510 alpha=90.00 beta=98.77 gamma=90.00
Space group P2_1/m (No. 11)
Asymmetric unit:
Pr: 0.0773 0.2500 0.2582
In: 0.0987 0.2500 0.6098
In: 0.1479 0.7500 0.0371
In: 0.2908 0.7500 0.7649
In: 0.3510 0.7500 0.2980
In: 0.3799 0.2500 0.4918
In: 0.4469 0.2500 0.9049
Pd: 0.1436 0.2500 0.8874
Pd: 0.1888 0.7500 0.4998
Pd: 0.3907 0.2500 0.1539

Most intense lines, 10° ≤ 2θ ≤ 80°, by intensity:
| Position (°2θ) | d [Å] | intensity | (hkl) |
| --- | --- | --- | --- |
| 38.93 | 2.313 | 100 | 0 2 0 |
| 35.17 | 2.552 | 77 | 3 1 0 |
| 32.41 | 2.762 | 65 | 0 1 3 |
| 34.09 | 2.630 | 62 | 2 1 2 |
| 30.82 | 2.901 | 61 | 2 1 -2 |
| 35.08 | 2.558 | 47 | 1 1 3 |
| 39.88 | 2.261 | 46 | 1 1 -4 |
| 41.27 | 2.187 | 34 | 3 1 -3 |
| 35.84 | 2.506 | 28 | 2 1 -3 |
| 39.27 | 2.294 | 22 | 4 0 0 |



Diffraction record for ScTi2Ag2S6. The powder XRD pattern is computed, not measured: it uses a PBE-relaxed structure and copper Kα.

Unit cell a=6.1712 b=6.1712 c=6.5107 alpha=90.00 beta=90.00 gamma=120.00
Space group P-31m (No. 162)
Asymmetric unit:
Sc: 0.0000 0.0000 0.0000
Ti: 0.3333 0.6667 0.0000
Ag: 0.3333 0.6667 0.5000
S: 0.0000 0.3422 0.7808

Most intense lines, 10° ≤ 2θ ≤ 80°, by intensity:
| Position (°2θ) | d [Å] | intensity | (hkl) |
| --- | --- | --- | --- |
| 40.27 | 2.239 | 100 | 1 1 2 |
| 32.12 | 2.786 | 47 | 2 -1 1 |
| 28.94 | 3.086 | 42 | 1 1 0 |
| 51.28 | 1.781 | 34 | 3 0 0 |
| 16.59 | 5.344 | 34 | 1 0 0 |
| 21.51 | 4.131 | 29 | 1 0 1 |
| 67.14 | 1.394 | 20 | 4 -2 2 |
| 79.82 | 1.202 | 14 | 3 0 4 |
| 64.75 | 1.440 | 11 | 2 -1 4 |
| 36.34 | 2.472 | 8 | 2 0 1 |



Diffraction record for In2SiN. The powder XRD pattern is computed, not measured: it uses a PBE-relaxed structure and copper Kα.

Unit cell a=9.4511 b=2.9046 c=6.4212 alpha=90.00 beta=112.58 gamma=90.00
Space group Cm (No. 8)
Asymmetric unit:
In: 0.0000 0.0000 0.0000
In: 0.1709 0.0000 0.6273
Si: 0.3033 0.0000 0.3092
N: 0.4046 0.5000 0.3023

Most intense lines, 10° ≤ 2θ ≤ 80°, by intensity:
| Position (°2θ) | d [Å] | intensity | (hkl) |
| --- | --- | --- | --- |
| 29.72 | 3.006 | 100 | 2 0 1 |
| 32.49 | 2.756 | 99 | 1 1 0 |
| 29.21 | 3.058 | 98 | 2 0 -2 |
| 41.97 | 2.153 | 49 | 1 1 -2 |
| 37.62 | 2.391 | 46 | 1 1 1 |
| 38.09 | 2.362 | 43 | 4 0 -1 |
| 20.11 | 4.416 | 42 | 2 0 -1 |
| 42.46 | 2.129 | 38 | 3 1 -1 |
| 50.81 | 1.797 | 34 | 3 1 1 |
| 46.43 | 1.956 | 28 | 3 1 -2 |



Diffraction record for LaSm2Tl4. The powder XRD pattern is computed, not measured: it uses a PBE-relaxed structure and copper Kα.

Unit cell a=5.3457 b=5.3457 c=7.8536 alpha=90.00 beta=90.00 gamma=90.00
Space group P4/mmm (No. 123)
Asymmetric unit:
La: 0.0000 0.0000 0.0000
Sm: 0.0000 0.0000 0.5000
Sm: 0.5000 0.5000 0.0000
Tl: 0.0000 0.5000 0.2728

Most intense lines, 10° ≤ 2θ ≤ 80°, by intensity:
| Position (°2θ) | d [Å] | intensity | (hkl) |
| --- | --- | --- | --- |
| 32.89 | 2.723 | 100 | 1 1 2 |
| 33.53 | 2.673 | 50 | 2 0 0 |
| 59.54 | 1.553 | 37 | 3 1 2 |
| 48.15 | 1.890 | 18 | 2 2 0 |
| 58.31 | 1.582 | 17 | 2 0 4 |
| 23.54 | 3.780 | 10 | 1 1 0 |
| 68.97 | 1.362 | 10 | 2 2 4 |
| 46.24 | 1.963 | 8 | 0 0 4 |
| 79.97 | 1.200 | 8 | 3 3 2 |
| 26.16 | 3.406 | 8 | 1 1 1 |



Diffraction record for Dy5Ho6Mg2. The powder XRD pattern is computed, not measured: it uses a PBE-relaxed structure and copper Kα.

Unit cell a=10.2857 b=22.3395 c=3.5284 alpha=90.00 beta=90.00 gamma=90.00
Space group Pbam (No. 55)
Asymmetric unit:
Dy: 0.0000 0.0000 0.0000
Dy: 0.0780 0.2515 0.0000
Dy: 0.1662 0.5063 0.0000
Ho: 0.0204 0.3873 0.5000
Ho: 0.1434 0.1184 0.5000
Ho: 0.1685 0.8660 0.0000
Mg: 0.1716 0.7394 0.5000

Most intense lines, 10° ≤ 2θ ≤ 80°, by intensity:
| Position (°2θ) | d [Å] | intensity | (hkl) |
| --- | --- | --- | --- |
| 28.66 | 3.114 | 100 | 3 3 0 |
| 33.05 | 2.710 | 100 | 2 3 1 |
| 32.05 | 2.792 | 93 | 0 8 0 |
| 36.82 | 2.441 | 89 | 3 1 1 |
| 29.95 | 2.983 | 87 | 0 4 1 |
| 32.93 | 2.720 | 83 | 3 5 0 |
| 27.90 | 3.198 | 43 | 1 2 1 |
| 52.37 | 1.747 | 38 | 3 9 1 |
| 34.77 | 2.580 | 38 | 2 4 1 |
| 62.79 | 1.480 | 37 | 3 5 2 |



Diffraction record for TiTeSe4. The powder XRD pattern is computed, not measured: it uses a PBE-relaxed structure and copper Kα.

Unit cell a=7.3587 b=7.9235 c=11.0938 alpha=90.00 beta=90.00 gamma=90.00
Space group Imma (No. 74)
Asymmetric unit:
Ti: 0.2500 0.2500 0.2500
Te: 0.0000 0.0000 0.0000
Se: 0.0000 0.0187 0.2501
Se: 0.2305 0.2500 0.4837

Most intense lines, 10° ≤ 2θ ≤ 80°, by intensity:
| Position (°2θ) | d [Å] | intensity | (hkl) |
| --- | --- | --- | --- |
| 33.23 | 2.696 | 100 | 2 2 0 |
| 47.00 | 1.933 | 70 | 2 2 4 |
| 32.28 | 2.773 | 53 | 0 0 4 |
| 14.44 | 6.132 | 36 | 1 0 1 |
| 26.79 | 3.328 | 31 | 1 2 1 |
| 13.73 | 6.448 | 27 | 0 1 1 |
| 45.81 | 1.981 | 19 | 0 4 0 |
| 57.14 | 1.612 | 19 | 0 4 4 |
| 60.38 | 1.533 | 16 | 4 0 4 |
| 49.55 | 1.840 | 15 | 4 0 0 |



Diffraction record for Ti2NbNi9. The powder XRD pattern is computed, not measured: it uses a PBE-relaxed structure and copper Kα.

Unit cell a=3.6366 b=3.6366 c=10.9215 alpha=90.00 beta=90.00 gamma=90.00
Space group P4/mmm (No. 123)
Asymmetric unit:
Ti: 0.0000 0.0000 0.1631
Nb: 0.0000 0.0000 0.5000
Ni: 0.0000 0.5000 0.0000
Ni: 0.0000 0.5000 0.3292
Ni: 0.5000 0.5000 0.1652
Ni: 0.5000 0.5000 0.5000

Most intense lines, 10° ≤ 2θ ≤ 80°, by intensity:
| Position (°2θ) | d [Å] | intensity | (hkl) |
| --- | --- | --- | --- |
| 43.07 | 2.100 | 100 | 1 1 3 |
| 50.15 | 1.819 | 47 | 2 0 0 |
| 73.65 | 1.286 | 27 | 2 2 0 |
| 25.82 | 3.450 | 1 | 1 0 1 |
| 29.51 | 3.027 | 1 | 1 0 2 |
| 38.70 | 2.326 | 1 | 1 1 2 |
| 16.23 | 5.461 | 1 | 0 0 2 |
| 41.34 | 2.184 | 1 | 0 0 5 |
| 35.88 | 2.503 | 1 | 1 1 1 |
| 66.96 | 1.397 | 1 | 2 0 5 |



Diffraction record for CePm5Sn6. The powder XRD pattern is computed, not measured: it uses a PBE-relaxed structure and copper Kα.

Unit cell a=8.4497 b=15.8724 c=6.2618 alpha=90.00 beta=120.74 gamma=90.00
Space group C2/m (No. 12)
Asymmetric unit:
Ce: 0.0000 0.0000 0.0000
Pm: 0.0000 0.1830 0.5000
Pm: 0.0000 0.3575 0.0000
Pm: 0.0000 0.5000 0.5000
Sn: 0.2056 0.0000 0.6706
Sn: 0.2189 0.1723 0.1950

Most intense lines, 10° ≤ 2θ ≤ 80°, by intensity:
| Position (°2θ) | d [Å] | intensity | (hkl) |
| --- | --- | --- | --- |
| 30.36 | 2.944 | 100 | 1 3 1 |
| 36.20 | 2.481 | 73 | 3 3 -1 |
| 29.53 | 3.025 | 67 | 2 0 -2 |
| 33.89 | 2.645 | 38 | 0 6 0 |
| 45.56 | 1.991 | 31 | 2 6 -2 |
| 48.78 | 1.867 | 21 | 1 3 -3 |
| 60.58 | 1.528 | 17 | 5 3 -3 |
| 50.25 | 1.816 | 11 | 4 0 0 |
| 27.94 | 3.194 | 11 | 0 4 1 |
| 51.61 | 1.771 | 10 | 2 0 2 |



Diffraction record for Tb2YTm4Sc. The powder XRD pattern is computed, not measured: it uses a PBE-relaxed structure and copper Kα.

Unit cell a=4.9394 b=4.9394 c=9.8428 alpha=90.00 beta=90.00 gamma=90.00
Space group P4/mmm (No. 123)
Asymmetric unit:
Tb: 0.0000 0.0000 0.0000
Tb: 0.5000 0.5000 0.5000
Y: 0.0000 0.0000 0.5000
Tm: 0.0000 0.5000 0.2445
Sc: 0.5000 0.5000 0.0000

Most intense lines, 10° ≤ 2θ ≤ 80°, by intensity:
| Position (°2θ) | d [Å] | intensity | (hkl) |
| --- | --- | --- | --- |
| 31.41 | 2.848 | 100 | 1 1 2 |
| 36.38 | 2.470 | 34 | 2 0 0 |
| 62.37 | 1.489 | 28 | 3 1 2 |
| 52.50 | 1.743 | 23 | 2 0 4 |
| 36.52 | 2.461 | 17 | 0 0 4 |
| 62.56 | 1.485 | 14 | 1 1 6 |
| 65.55 | 1.424 | 12 | 2 2 4 |
| 52.39 | 1.746 | 12 | 2 2 0 |
| 20.11 | 4.415 | 7 | 1 0 1 |
| 18.02 | 4.923 | 4 | 0 0 2 |



Q: Number 8 is which compound?
A: Dy5Ho6Mg2



Q: What is the formula in the eleventh record?
A: CePm5Sn6